[1]
Ac14NdY: theoretical X-ray powder pattern (Cu Kα (weighted mean of Kα1 and Kα2)), based on DFT lattice parameters and positions (GGA-PBE).
Intensities are scaled so that the largest is 100.

Cell and atoms:
abc: 11.2302 7.8939 7.8939
angles: 90.00 90.00 90.00
Fractional coordinates of all 16 atoms:
Ac: 0.0000 0.0000 0.0000
Ac: 0.0000 0.0008 0.4991
Ac: 0.0000 0.4991 0.0008
Ac: 0.0000 0.4998 0.4998
Ac: 0.2547 0.7494 0.7494
Ac: 0.2558 0.2504 0.7494
Ac: 0.2558 0.7494 0.2504
Ac: 0.2568 0.2503 0.2503
Ac: 0.5000 0.5010 0.9988
Ac: 0.5000 0.9988 0.5010
Ac: 0.7432 0.2503 0.2503
Ac: 0.7442 0.2504 0.7494
Ac: 0.7442 0.7494 0.2504
Ac: 0.7453 0.7494 0.7494
Nd: 0.5000 0.9998 0.9998
Y: 0.5000 0.5000 0.5000

Main lines, low angle first (15° ≤ 2θ ≤ 90°):
d_spacing  I (rel.)
3.229  100
2.808  17
2.791  34
1.979  26
1.973  13
1.691  16
1.684  32
1.615  14
1.284  13
1.141  9

***

[2]
Ac3Nd8Y: theoretical X-ray powder pattern (Cu Kα (weighted mean of Kα1 and Kα2)), based on DFT lattice parameters and positions (GGA-PBE).
Intensities are scaled so that the largest is 100.

Cell and atoms:
abc: 9.3145 9.3145 9.3145
angles: 137.81 118.39 77.50
Fractional coordinates of all 12 atoms:
Ac: 0.0000 0.0000 0.0000
Ac: 0.1308 0.6308 0.5000
Ac: 0.8692 0.3692 0.5000
Nd: 0.1449 0.4309 0.9902
Nd: 0.2395 0.0240 0.4693
Nd: 0.4407 0.1547 0.0098
Nd: 0.4453 0.9760 0.2156
Nd: 0.5547 0.7703 0.5307
Nd: 0.5593 0.5691 0.7140
Nd: 0.7605 0.2297 0.7844
Nd: 0.8551 0.8453 0.2860
Y: 0.5000 0.5000 0.0000

Main lines, low angle first (15° ≤ 2θ ≤ 90°):
d_spacing  I (rel.)
3.926  17
3.106  29
3.091  40
3.029  100
2.743  12
2.671  24
2.566  23
1.778  12
1.639  14
1.633  16

***

[3]
AcNd6Y12: theoretical X-ray powder pattern (Cu Kα (weighted mean of Kα1 and Kα2)), based on DFT lattice parameters and positions (GGA-PBE).
Intensities are scaled so that the largest is 100.

Cell and atoms:
abc: 8.8692 8.8692 8.8692
angles: 99.32 99.32 99.32
Fractional coordinates of all 19 atoms:
Ac: 0.0000 0.0000 0.0000
Nd: 0.1021 0.1021 0.6529
Nd: 0.1021 0.6529 0.1021
Nd: 0.3471 0.8979 0.8979
Nd: 0.6529 0.1021 0.1021
Nd: 0.8979 0.3471 0.8979
Nd: 0.8979 0.8979 0.3471
Y: 0.0801 0.3543 0.3543
Y: 0.2412 0.5000 0.7588
Y: 0.2412 0.7588 0.5000
Y: 0.3543 0.0801 0.3543
Y: 0.3543 0.3543 0.0801
Y: 0.5000 0.2412 0.7588
Y: 0.5000 0.7588 0.2412
Y: 0.6457 0.6457 0.9199
Y: 0.6457 0.9199 0.6457
Y: 0.7588 0.2412 0.5000
Y: 0.7588 0.5000 0.2412
Y: 0.9199 0.6457 0.6457

Main lines, low angle first (15° ≤ 2θ ≤ 90°):
d_spacing  I (rel.)
3.380  36
3.145  56
3.049  73
2.888  77
2.862  65
2.852  100
2.656  47
2.636  67
2.627  63
1.644  38

***

[4]
Ac3Nd5Y3: theoretical X-ray powder pattern (Cu Kα (weighted mean of Kα1 and Kα2)), based on DFT lattice parameters and positions (GGA-PBE).
Intensities are scaled so that the largest is 100.

Cell and atoms:
abc: 9.7230 9.7230 6.1307
angles: 90.00 90.00 120.00
Fractional coordinates of all 11 atoms:
Ac: 0.0000 0.4235 0.0000
Ac: 0.4235 0.0000 0.0000
Ac: 0.5765 0.5765 0.0000
Nd: 0.0000 0.6185 0.5000
Nd: 0.3333 0.6667 0.5000
Nd: 0.3815 0.3815 0.5000
Nd: 0.6185 0.0000 0.5000
Nd: 0.6667 0.3333 0.5000
Y: 0.0000 0.2493 0.5000
Y: 0.2493 0.0000 0.5000
Y: 0.7507 0.7507 0.5000

Main lines, low angle first (15° ≤ 2θ ≤ 90°):
d_spacing  I (rel.)
4.861  27
4.210  25
3.809  89
3.471  57
3.065  66
2.825  100
2.807  43
2.552  25
2.182  66
2.070  36

***

[5]
Ac2Nd3Y5: theoretical X-ray powder pattern (Cu Kα (weighted mean of Kα1 and Kα2)), based on DFT lattice parameters and positions (GGA-PBE).
Intensities are scaled so that the largest is 100.

Cell and atoms:
abc: 9.2402 9.2402 10.0467
angles: 100.31 100.31 114.13
Fractional coordinates of all 20 atoms:
Ac: 0.1404 0.3494 0.9995
Ac: 0.3494 0.1404 0.4995
Ac: 0.6506 0.8596 0.5005
Ac: 0.8596 0.6506 0.0005
Nd: 0.2224 0.4691 0.4058
Nd: 0.2521 0.7479 0.2500
Nd: 0.4691 0.2224 0.9058
Nd: 0.5309 0.7776 0.0942
Nd: 0.7479 0.2521 0.7500
Nd: 0.7776 0.5309 0.5942
Y: 0.0345 0.2776 0.5961
Y: 0.0352 0.9648 0.7500
Y: 0.2505 0.7495 0.7500
Y: 0.2776 0.0345 0.0961
Y: 0.4661 0.5339 0.7500
Y: 0.5339 0.4661 0.2500
Y: 0.7224 0.9655 0.9039
Y: 0.7495 0.2505 0.2500
Y: 0.9648 0.0352 0.2500
Y: 0.9655 0.7224 0.4039

Main lines, low angle first (15° ≤ 2θ ≤ 90°):
d_spacing  I (rel.)
4.095  17
3.874  20
3.273  37
3.002  100
2.910  49
2.811  74
2.689  15
1.697  19
1.481  15
1.460  21

***

[6]
Ac2Nd4Y7: theoretical X-ray powder pattern (Cu Kα (weighted mean of Kα1 and Kα2)), based on DFT lattice parameters and positions (GGA-PBE).
Intensities are scaled so that the largest is 100.

Cell and atoms:
abc: 6.2662 6.2662 13.6338
angles: 90.00 90.00 120.00
Fractional coordinates of all 13 atoms:
Ac: 0.3333 0.6667 0.0000
Ac: 0.6667 0.3333 0.0000
Nd: 0.0000 0.0000 0.3941
Nd: 0.0000 0.0000 0.6059
Nd: 0.3333 0.6667 0.5000
Nd: 0.6667 0.3333 0.5000
Y: 0.0000 0.0000 0.0000
Y: 0.0000 0.3529 0.2174
Y: 0.0000 0.6471 0.7826
Y: 0.3529 0.0000 0.2174
Y: 0.3529 0.3529 0.7826
Y: 0.6471 0.0000 0.7826
Y: 0.6471 0.6471 0.2174

Main lines, low angle first (15° ≤ 2θ ≤ 90°):
d_spacing  I (rel.)
3.408  18
3.133  34
3.054  19
2.886  24
2.847  100
2.580  24
1.839  15
1.809  27
1.527  15
1.497  15

***

[7]
Ac8Nd5Y: theoretical X-ray powder pattern (Cu Kα (weighted mean of Kα1 and Kα2)), based on DFT lattice parameters and positions (GGA-PBE).
Intensities are scaled so that the largest is 100.

Cell and atoms:
abc: 9.0252 9.0430 9.4302
angles: 116.43 116.78 92.76
Fractional coordinates of all 14 atoms:
Ac: 0.0000 0.0000 0.0000
Ac: 0.0067 0.6646 0.5364
Ac: 0.2986 0.3684 0.5426
Ac: 0.3064 0.6788 0.9925
Ac: 0.5133 0.1814 0.2574
Ac: 0.5519 0.6508 0.4229
Ac: 0.6305 0.3723 0.0063
Ac: 0.8139 0.8892 0.2577
Nd: 0.1766 0.1679 0.7894
Nd: 0.2688 0.9152 0.4078
Nd: 0.4895 0.8717 0.8106
Nd: 0.7338 0.1163 0.6704
Nd: 0.8038 0.5538 0.8027
Y: 0.0859 0.4542 0.1311

Main lines, low angle first (15° ≤ 2θ ≤ 90°):
d_spacing  I (rel.)
3.960  13
3.135  59
3.117  63
3.088  59
2.982  14
2.937  100
2.874  37
2.744  16
2.180  15
1.987  21

***

[8]
Ac3Nd4Y4: theoretical X-ray powder pattern (Cu Kα (weighted mean of Kα1 and Kα2)), based on DFT lattice parameters and positions (GGA-PBE).
Intensities are scaled so that the largest is 100.

Cell and atoms:
abc: 3.6758 5.8768 19.0104
angles: 98.84 95.54 90.01
Fractional coordinates of all 11 atoms:
Ac: 0.0000 0.0000 0.0000
Ac: 0.1360 0.6370 0.2734
Ac: 0.8640 0.3630 0.7266
Nd: 0.2655 0.2654 0.5310
Nd: 0.4091 0.9080 0.8171
Nd: 0.5909 0.0920 0.1829
Nd: 0.7345 0.7346 0.4690
Y: 0.3178 0.8172 0.6351
Y: 0.4551 0.4537 0.9088
Y: 0.5449 0.5463 0.0912
Y: 0.6822 0.1828 0.3649

Main lines, low angle first (15° ≤ 2θ ≤ 90°):
d_spacing  I (rel.)
5.315  12
3.028  36
2.956  78
2.941  100
2.109  26
2.063  15
1.699  28
1.688  16
1.559  30
1.247  14